(1)
The following is a simulated powder XRD pattern of FeRhO3. It was derived from the PBE+U geometry in the Materials Project, using CuKα.

The 9 most intense peaks (10 to 90 degrees two-theta), in order of rising 2θ:
| 2theta | I (rel.) |
| --- | --- |
| 22.81 | 23 |
| 32.48 | 100 |
| 46.59 | 36 |
| 52.49 | 9 |
| 57.94 | 37 |
| 68.02 | 20 |
| 72.78 | 4 |
| 77.41 | 16 |
| 86.48 | 7 |

Cell and atoms:
```
data_FeRhO3
_chemical_formula_sum 'Fe1 Rh1 O3'
_symmetry_space_group_name_H-M 'P m -3 m'
_symmetry_Int_Tables_number 221
_symmetry_space_group_name_Hall '-P 4 2 3'
_cell_length_a 3.8984
_cell_length_b 3.8984
_cell_length_c 3.8984
_cell_angle_alpha 90.00
_cell_angle_beta 90.00
_cell_angle_gamma 90.00
loop_
_atom_site_label
_atom_site_type_symbol
_atom_site_fract_x
_atom_site_fract_y
_atom_site_fract_z
_atom_site_occupancy
Fe1 Fe 0.0000 0.0000 0.0000 1
Rh1 Rh 0.5000 0.5000 0.5000 1
O1 O 0.0000 0.5000 0.5000 1
```

(2)
The following is a simulated powder XRD pattern of Sr4FeRh2O9. It was derived from the PBE+U geometry in the Materials Project, using CuKα.

The 10 most intense peaks (10 to 90 degrees two-theta), in order of rising 2θ:
| 2theta | I (rel.) |
| --- | --- |
| 18.22 | 25 |
| 28.60 | 63 |
| 31.84 | 100 |
| 39.52 | 19 |
| 43.32 | 37 |
| 43.84 | 28 |
| 54.76 | 14 |
| 56.72 | 16 |
| 58.62 | 18 |
| 66.53 | 15 |

Cell and atoms:
```
data_Sr4FeRh2O9
_chemical_formula_sum 'Sr12 Fe3 Rh6 O27'
_symmetry_space_group_name_H-M 'P 3 2 1'
_symmetry_Int_Tables_number 150
_symmetry_space_group_name_Hall 'P 3 2"'
_cell_length_a 9.7371
_cell_length_b 9.7371
_cell_length_c 8.1322
_cell_angle_alpha 90.00
_cell_angle_beta 90.00
_cell_angle_gamma 120.00
loop_
_atom_site_label
_atom_site_type_symbol
_atom_site_fract_x
_atom_site_fract_y
_atom_site_fract_z
_atom_site_occupancy
Sr1 Sr 0.0000 0.3265 0.0000 1
Sr2 Sr 0.0000 0.3636 0.5000 1
Sr3 Sr 0.0274 0.6948 0.2540 1
Fe1 Fe 0.0000 0.0000 0.5000 1
Fe2 Fe 0.3333 0.6667 0.7349 1
Rh1 Rh 0.0000 0.0000 0.1617 1
Rh2 Rh 0.3333 0.6667 0.0707 1
Rh3 Rh 0.3333 0.6667 0.3947 1
O1 O 0.0000 0.8363 0.0000 1
O2 O 0.0073 0.1619 0.6758 1
O3 O 0.1575 0.5075 0.2341 1
O4 O 0.1814 0.6816 0.5554 1
O5 O 0.1865 0.6820 0.9087 1
```

(3)
The following is a simulated powder XRD pattern of Sr3Fe2RuO9. It was derived from the PBE+U geometry in the Materials Project, using CuKα.

The 10 most intense peaks (10 to 90 degrees two-theta), in order of rising 2θ:
| 2theta | I (rel.) |
| --- | --- |
| 31.88 | 100 |
| 32.38 | 50 |
| 39.52 | 10 |
| 44.95 | 18 |
| 46.45 | 36 |
| 56.48 | 17 |
| 57.44 | 37 |
| 66.63 | 20 |
| 67.79 | 11 |
| 85.09 | 10 |

Cell and atoms:
```
data_Sr3Fe2RuO9
_chemical_formula_sum 'Sr3 Fe2 Ru1 O9'
_symmetry_space_group_name_H-M 'P 4/m m m'
_symmetry_Int_Tables_number 123
_symmetry_space_group_name_Hall '-P 4 2'
_cell_length_a 3.9098
_cell_length_b 3.9098
_cell_length_c 12.0990
_cell_angle_alpha 90.00
_cell_angle_beta 90.00
_cell_angle_gamma 90.00
loop_
_atom_site_label
_atom_site_type_symbol
_atom_site_fract_x
_atom_site_fract_y
_atom_site_fract_z
_atom_site_occupancy
Sr1 Sr 0.0000 0.0000 0.0000 1
Sr2 Sr 0.0000 0.0000 0.3168 1
Fe1 Fe 0.5000 0.5000 0.1625 1
Ru1 Ru 0.5000 0.5000 0.5000 1
O1 O 0.0000 0.5000 0.1697 1
O2 O 0.0000 0.5000 0.5000 1
O3 O 0.5000 0.5000 0.0000 1
O4 O 0.5000 0.5000 0.3365 1
```

(4)
The following is a simulated powder XRD pattern of Sr3FeRuO7. It was derived from the PBE+U geometry in the Materials Project, using CuKα.

The 10 most intense peaks (10 to 90 degrees two-theta), in order of rising 2θ:
| 2theta | I (rel.) |
| --- | --- |
| 31.17 | 100 |
| 32.50 | 60 |
| 41.57 | 10 |
| 42.64 | 17 |
| 46.63 | 36 |
| 54.62 | 17 |
| 57.16 | 36 |
| 65.02 | 17 |
| 68.07 | 11 |
| 77.48 | 10 |

Cell and atoms:
```
data_Sr3FeRuO7
_chemical_formula_sum 'Sr6 Fe2 Ru2 O14'
_symmetry_space_group_name_H-M 'I 4 m m'
_symmetry_Int_Tables_number 107
_symmetry_space_group_name_Hall 'I 4 -2'
_cell_length_a 3.8957
_cell_length_b 3.8957
_cell_length_c 21.2048
_cell_angle_alpha 90.00
_cell_angle_beta 90.00
_cell_angle_gamma 90.00
loop_
_atom_site_label
_atom_site_type_symbol
_atom_site_fract_x
_atom_site_fract_y
_atom_site_fract_z
_atom_site_occupancy
Sr1 Sr 0.0000 0.0000 0.0000 1
Sr2 Sr 0.0000 0.0000 0.1719 1
Sr3 Sr 0.0000 0.0000 0.3719 1
Fe1 Fe 0.0000 0.0000 0.5806 1
Ru1 Ru 0.0000 0.0000 0.7799 1
O1 O 0.0000 0.0000 0.4860 1
O2 O 0.0000 0.0000 0.6870 1
O3 O 0.0000 0.0000 0.8782 1
O4 O 0.0000 0.5000 0.0883 1
O5 O 0.0000 0.5000 0.2817 1
```